Structure and theoretical PXRD pattern of Ba4LaTi4CrO15 (a DFT-relaxed cell (PBE+U, the Materials Project); CuKα).
Lines closer than 0.1° are merged.

Crystal structure
abc: 5.6980 28.2973 4.0147
angles: 90.00 90.00 90.00
Space group Cmmm (No. 65)
Inequivalent atoms, fractional coordinates:
Ba1 0.0000 0.0986 0.0000
Ba2 0.0000 0.3004 0.0000
La1 0.0000 0.5000 0.0000
Ti1 0.0000 0.1995 0.5000
Ti2 0.0000 0.4020 0.5000
Cr1 0.0000 0.0000 0.5000
O1 0.0000 0.0000 0.0000
O2 0.0000 0.1997 0.0000
O3 0.0000 0.4039 0.0000
O4 0.2341 0.4522 0.5000
O5 0.2493 0.1490 0.5000
O6 0.2500 0.2500 0.5000

Main lines, in order of rising 2θ (2θ from 10° to 90°):
Position (°2θ)	I (rel.)	(hkl)
22.14	28	1 5 0
31.40	25	2 0 0
31.51	100	1 5 1
31.62	25	0 10 0
38.76	18	2 0 1
38.94	18	0 10 1
45.16	51	0 0 2
55.99	29	3 5 1
56.22	29	1 15 1
65.79	20	2 10 2

=====

Structure and theoretical PXRD pattern of BaLa4TiCr4O15 (a DFT-relaxed cell (PBE+U, the Materials Project); CuKα).
Lines closer than 0.1° are merged.

Crystal structure
abc: 5.5808 7.9190 14.8062
angles: 105.32 100.60 90.86
Space group P1 (No. 1)
Inequivalent atoms, fractional coordinates:
Ba1 0.0000 0.0000 0.0000
Ba2 0.0020 0.5025 0.0048
La1 0.2001 0.2021 0.4026
La2 0.2008 0.6991 0.3992
La3 0.4001 0.4002 0.8002
La4 0.4019 0.9002 0.8003
La5 0.5986 0.6025 0.2049
La6 0.6025 0.1018 0.2047
La7 0.8002 0.3014 0.6023
La8 0.8032 0.8029 0.6050
Ti1 0.5006 0.2513 0.0024
Ti2 0.5012 0.7512 0.0024
Cr1 0.0982 0.3526 0.2052
Cr2 0.1059 0.8519 0.2053
Cr3 0.2996 0.5496 0.6006
Cr4 0.3006 0.0515 0.6006
Cr5 0.7016 0.4511 0.4042
Cr6 0.7018 0.9531 0.4042
Cr7 0.8960 0.6506 0.7995
Cr8 0.9041 0.1497 0.7994
O1 0.0290 0.4569 0.4880
O2 0.0572 0.6218 0.6864
O3 0.1065 0.5965 0.1942
O4 0.1099 0.1140 0.2289
O5 0.1499 0.0764 0.7152
O6 0.2008 0.2245 0.9070
O7 0.2237 0.6752 0.8904
O8 0.2861 0.7868 0.5731
O9 0.2969 0.8208 0.0981
O10 0.3149 0.3156 0.6308
O11 0.3352 0.2849 0.1142
O12 0.3741 0.4349 0.3180
O13 0.4342 0.8652 0.2906
O14 0.4552 0.0318 0.4868
O15 0.4928 0.9917 0.9838
O16 0.5095 0.5103 0.0207
O17 0.5423 0.4694 0.5165
O18 0.5680 0.6392 0.7139
O19 0.6310 0.0658 0.6853
O20 0.6657 0.2157 0.8901
O21 0.6911 0.1870 0.3740
O22 0.7054 0.6823 0.9068
O23 0.7098 0.7156 0.4314
O24 0.7785 0.8265 0.1145
O25 0.8003 0.2785 0.0984
O26 0.8578 0.4304 0.2913
O27 0.8881 0.3885 0.7762
O28 0.9034 0.9058 0.8105
O29 0.9435 0.8782 0.3182
O30 0.9703 0.0449 0.5182

Main lines, in order of rising 2θ (2θ from 10° to 90°):
Position (°2θ)	I (rel.)	(hkl)
22.48	35	1 0 -3
31.82	65	-1 2 2
31.95	32	0 0 5
32.14	100	2 0 -1
39.40	19	0 2 4
45.88	61	0 4 -2
56.83	28	1 -2 8
56.96	13	0 4 -7
57.07	13	1 2 -9
57.46	13	3 2 -5

=====

Structure and theoretical PXRD pattern of BaLa2TiCr2O9 (a DFT-relaxed cell (PBE+U, the Materials Project); CuKα).
Lines closer than 0.1° are merged.

Crystal structure
abc: 5.6410 16.7144 3.9588
angles: 90.00 90.00 90.00
Space group Cmmm (No. 65)
Inequivalent atoms, fractional coordinates:
Ba1 0.0000 0.0000 0.0000
La1 0.0000 0.3285 0.0000
Ti1 0.0000 0.5000 0.5000
Cr1 0.0000 0.1670 0.5000
O1 0.0000 0.1748 0.0000
O2 0.0000 0.5000 0.0000
O3 0.2362 0.4136 0.5000
O4 0.2500 0.2500 0.5000

Main lines, in order of rising 2θ (2θ from 10° to 90°):
Position (°2θ)	I (rel.)	(hkl)
22.44	26	0 0 1
31.72	26	2 0 0
31.95	100	1 3 1
32.13	24	0 6 0
39.22	17	2 0 1
39.56	16	0 6 1
45.80	50	0 0 2
56.66	19	3 3 1
57.14	28	0 6 2
66.79	19	2 6 2

=====

Structure and theoretical PXRD pattern of BaLa4TiCr4O15 (a DFT-relaxed cell (PBE+U, the Materials Project); CuKα).
Lines closer than 0.1° are merged.

Crystal structure
abc: 5.6006 27.7672 3.9545
angles: 90.00 90.00 90.00
Space group Cmmm (No. 65)
Inequivalent atoms, fractional coordinates:
Ba1 0.0000 0.0000 0.0000
La1 0.0000 0.1990 0.0000
La2 0.0000 0.3968 0.0000
Ti1 0.0000 0.5000 0.5000
Cr1 0.0000 0.1005 0.5000
Cr2 0.0000 0.2994 0.5000
O1 0.0000 0.1053 0.0000
O2 0.0000 0.3012 0.0000
O3 0.0000 0.5000 0.0000
O4 0.2363 0.4481 0.5000
O5 0.2494 0.3496 0.5000
O6 0.2500 0.2500 0.5000

Main lines, in order of rising 2θ (2θ from 10° to 90°):
Position (°2θ)	I (rel.)	(hkl)
22.53	20	0 0 1
32.03	100	2 0 0
32.24	19	0 10 0
39.43	13	2 0 1
39.66	13	0 10 1
45.90	13	0 0 2
46.03	26	2 10 0
57.02	23	2 0 2
57.37	15	1 15 1
67.03	15	2 10 2

=====

Structure and theoretical PXRD pattern of BaMg6CrO8 (a DFT-relaxed cell (PBE+U, the Materials Project); CuKα).
Lines closer than 0.1° are merged.

Crystal structure
abc: 4.7093 4.7093 8.7502
angles: 90.00 90.00 90.00
Space group P4/mmm (No. 123)
Inequivalent atoms, fractional coordinates:
Ba1 0.0000 0.0000 0.0000
Mg1 0.0000 0.0000 0.5000
Mg2 0.0000 0.5000 0.2642
Mg3 0.5000 0.5000 0.5000
Cr1 0.5000 0.5000 0.0000
O1 0.0000 0.0000 0.2829
O2 0.0000 0.5000 0.0000
O3 0.0000 0.5000 0.5000
O4 0.5000 0.5000 0.2526

Main lines, in order of rising 2θ (2θ from 10° to 90°):
Position (°2θ)	I (rel.)	(hkl)
10.11	72	0 0 1
20.30	22	0 0 2
26.77	21	1 1 0
28.68	36	1 1 1
33.83	54	1 1 2
38.22	100	2 0 0
41.27	37	0 0 4
55.16	31	2 2 0
57.50	50	2 0 4
71.15	29	2 2 4

=====

Structure and theoretical PXRD pattern of BaMgCr4O8 (a DFT-relaxed cell (PBE+U, the Materials Project); CuKα).
Lines closer than 0.1° are merged.

Crystal structure
abc: 5.4015 5.4015 7.3559
angles: 90.00 90.00 120.00
Space group P-31m (No. 162)
Inequivalent atoms, fractional coordinates:
Ba1 0.0000 0.0000 0.0000
Mg1 0.0000 0.0000 0.5000
Cr1 0.3333 0.6667 0.2584
O1 0.0000 0.3134 0.3220
O2 0.3333 0.6667 0.0000

Main lines, in order of rising 2θ (2θ from 10° to 90°):
Position (°2θ)	I (rel.)	(hkl)
12.03	17	0 0 1
22.52	30	1 0 1
30.93	100	1 0 2
33.17	90	1 1 0
35.41	33	2 -1 1
45.98	36	2 0 2
57.87	34	2 1 2
59.26	28	3 0 0
60.95	37	2 -1 4
80.81	13	3 0 4

=====

Structure and theoretical PXRD pattern of Ba6MgCr2O10 (a DFT-relaxed cell (PBE+U, the Materials Project); CuKα).
Lines closer than 0.1° are merged.

Crystal structure
abc: 7.3744 7.6984 8.3134
angles: 62.78 73.76 62.93
Space group P1 (No. 1)
Inequivalent atoms, fractional coordinates:
Ba1 0.0000 0.0000 0.0000
Ba2 0.0467 0.0015 0.5145
Ba3 0.3699 0.3691 0.2662
Ba4 0.4300 0.3536 0.7736
Ba5 0.5283 0.8258 0.7259
Ba6 0.9311 0.5340 0.0056
Mg1 0.6663 0.5125 0.3895
Cr1 0.4620 0.9056 0.1683
Cr2 0.9666 0.4428 0.6087
O1 0.1898 0.1732 0.6676
O2 0.2011 0.1297 0.1478
O3 0.2245 0.6723 0.9166
O4 0.4674 0.7762 0.4383
O5 0.5456 0.6359 0.1530
O6 0.6364 0.2403 0.4996
O7 0.6627 0.9703 0.9846
O8 0.7607 0.3998 0.8118
O9 0.9594 0.4660 0.3656
O10 0.9755 0.6625 0.6422

Main lines, in order of rising 2θ (2θ from 10° to 90°):
Position (°2θ)	I (rel.)	(hkl)
26.19	100	1 2 0
26.70	82	1 0 2
27.27	64	2 0 0
28.23	33	0 2 0
28.88	96	1 0 -2
29.28	55	0 2 2
29.88	82	2 2 2
35.98	29	1 -2 0
40.26	30	3 2 0
43.78	33	1 2 4

=====

Structure and theoretical PXRD pattern of Ba3MgCr2O8 (a DFT-relaxed cell (PBE+U, the Materials Project); CuKα).
Lines closer than 0.1° are merged.

Crystal structure
abc: 5.8855 5.8862 8.2811
angles: 110.81 90.01 119.99
Space group P1 (No. 1)
Inequivalent atoms, fractional coordinates:
Ba1 0.0000 0.0000 0.0000
Ba2 0.1947 0.4059 0.6138
Ba3 0.7855 0.5876 0.3863
Mg1 0.4903 0.9965 0.5000
Cr1 0.3828 0.7825 0.1794
Cr2 0.5970 0.2103 0.8206
O1 0.2472 0.9706 0.6907
O2 0.2725 0.0219 0.3090
O3 0.2727 0.5627 0.3091
O4 0.2953 0.6264 0.9512
O5 0.6611 0.3574 0.0488
O6 0.7067 0.4312 0.6917
O7 0.7069 0.9707 0.6918
O8 0.7327 0.0217 0.3080

Main lines, in order of rising 2θ (2θ from 10° to 90°):
Position (°2θ)	I (rel.)	(hkl)
26.32	95	0 1 1
30.37	100	1 -2 1
38.77	23	0 2 0
40.61	39	0 2 -3
43.72	35	1 0 3
51.54	27	1 2 0
53.96	19	0 3 -2
54.16	16	0 2 2
63.19	16	2 -4 2
63.37	24	1 2 -5